[1]
For LiMnF5, a crystal structure in the Materials Project, relaxed with PBE+U gives the calculated X-ray diffraction stick pattern in this record (Cu Kα (λ = 1.5418 Å)).
Lines closer than 0.1° are merged.

Structural model:
```
LiMnF5
1.0
4.984 0.000 0.000
0.000 5.787 0.000
0.000 0.000 13.107
Li Mn F
4 4 20
Direct
0.030 0.134 0.361
0.470 0.866 0.861
0.530 0.366 0.639
0.970 0.634 0.139
0.181 0.872 0.587
0.319 0.128 0.087
0.681 0.628 0.413
0.819 0.372 0.913
0.013 0.147 0.992
0.056 0.104 0.505
0.096 0.395 0.829
0.129 0.923 0.163
0.173 0.364 0.161
0.327 0.636 0.661
0.371 0.077 0.663
0.404 0.605 0.329
0.444 0.896 0.005
0.487 0.853 0.492
0.513 0.353 0.008
0.556 0.396 0.495
0.596 0.105 0.171
0.629 0.577 0.837
0.673 0.136 0.839
0.827 0.864 0.339
0.871 0.423 0.337
0.904 0.895 0.671
0.944 0.604 0.995
0.987 0.647 0.508
```

Principal peaks in the range 2θ from 10° to 90°, in order of falling intensity:
| two_theta | Rel. int. |
| --- | --- |
| 22.41 | 1000 |
| 16.75 | 997 |
| 20.47 | 709 |
| 13.51 | 526 |
| 27.25 | 437 |
| 24.53 | 329 |
| 31.31 | 320 |
| 23.56 | 255 |
| 45.62 | 249 |
| 50.42 | 213 |
| 38.51 | 196 |
| 41.74 | 176 |

[2]
For LiMnF3, a crystal structure in the Materials Project, relaxed with PBE+U gives the calculated X-ray diffraction stick pattern in this record (Cu Kα (λ = 1.5418 Å)).
Lines closer than 0.1° are merged.

Structural model:
```
LiMnF3
1.0
5.907 0.000 0.000
-2.954 5.116 0.000
0.000 0.000 5.898
Li Mn F
2 2 6
Direct
0.333 0.667 0.250
0.667 0.333 0.750
0.000 0.000 0.000
0.000 0.000 0.500
0.154 0.309 0.250
0.154 0.846 0.250
0.309 0.154 0.750
0.691 0.846 0.250
0.846 0.154 0.750
0.846 0.691 0.750
```

Principal peaks in the range 2θ from 10° to 90°, in order of falling intensity:
| two_theta | Rel. int. |
| --- | --- |
| 17.33 | 1000 |
| 47.02 | 284 |
| 43.36 | 171 |
| 35.12 | 148 |
| 62.95 | 114 |
| 38.36 | 106 |
| 56.95 | 105 |
| 30.26 | 92 |
| 82.16 | 84 |
| 23.01 | 78 |
| 65.93 | 40 |
| 49.63 | 38 |

[3]
For LiMn2F5, a crystal structure in the Materials Project, relaxed with PBE+U gives the calculated X-ray diffraction stick pattern in this record (Cu Kα (λ = 1.5418 Å)).
Lines closer than 0.1° are merged.

Structural model:
```
LiMn2F5
1.0
7.494 0.000 0.000
0.000 5.224 0.000
0.000 0.000 9.931
Li Mn F
4 8 20
Direct
0.120 0.246 0.000
0.380 0.746 0.500
0.620 0.254 0.000
0.880 0.754 0.500
0.023 0.261 0.639
0.218 0.266 0.358
0.282 0.766 0.858
0.477 0.761 0.139
0.523 0.239 0.639
0.718 0.234 0.358
0.782 0.734 0.858
0.977 0.739 0.139
0.036 0.580 0.932
0.066 0.359 0.185
0.125 0.974 0.492
0.153 0.114 0.810
0.221 0.926 0.086
0.279 0.426 0.586
0.347 0.614 0.310
0.375 0.474 0.992
0.434 0.859 0.685
0.464 0.080 0.432
0.536 0.920 0.932
0.566 0.141 0.185
0.625 0.526 0.492
0.653 0.386 0.810
0.721 0.574 0.086
0.779 0.074 0.586
0.847 0.886 0.310
0.875 0.026 0.992
0.934 0.641 0.685
0.964 0.420 0.432
```

Principal peaks in the range 2θ from 10° to 90°, in order of falling intensity:
| two_theta | Rel. int. |
| --- | --- |
| 19.20 | 1000 |
| 46.14 | 556 |
| 29.87 | 539 |
| 30.71 | 454 |
| 55.24 | 432 |
| 32.01 | 348 |
| 50.74 | 249 |
| 29.33 | 232 |
| 43.74 | 190 |
| 59.25 | 183 |
| 36.18 | 181 |
| 52.72 | 149 |

[4]
For LiMnF3, a crystal structure in the Materials Project, relaxed with PBE+U gives the calculated X-ray diffraction stick pattern in this record (Cu Kα (λ = 1.5418 Å)).
Lines closer than 0.1° are merged.

Structural model:
```
LiMnF3
1.0
8.859 0.000 0.000
0.000 8.859 0.000
0.000 0.000 6.255
Li Mn F
8 8 24
Direct
0.099 0.302 0.089
0.198 0.099 0.411
0.302 0.401 0.411
0.401 0.198 0.089
0.599 0.802 0.911
0.698 0.599 0.589
0.802 0.901 0.589
0.901 0.698 0.911
0.057 0.727 0.353
0.227 0.943 0.853
0.273 0.557 0.853
0.443 0.773 0.353
0.557 0.227 0.647
0.727 0.443 0.147
0.773 0.057 0.147
0.943 0.273 0.647
0.072 0.078 0.687
0.078 0.428 0.813
0.095 0.300 0.396
0.109 0.752 0.977
0.200 0.095 0.104
0.248 0.609 0.477
0.252 0.891 0.477
0.300 0.405 0.104
0.391 0.748 0.977
0.405 0.200 0.396
0.422 0.072 0.813
0.428 0.422 0.687
0.572 0.578 0.313
0.578 0.928 0.187
0.595 0.800 0.604
0.609 0.252 0.023
0.700 0.595 0.896
0.748 0.109 0.523
0.752 0.391 0.523
0.800 0.905 0.896
0.891 0.248 0.023
0.905 0.700 0.604
0.922 0.572 0.187
0.928 0.922 0.313
```

Principal peaks in the range 2θ from 10° to 90°, in order of falling intensity:
| two_theta | Rel. int. |
| --- | --- |
| 26.63 | 1000 |
| 30.31 | 591 |
| 47.03 | 550 |
| 28.50 | 481 |
| 48.23 | 423 |
| 24.63 | 406 |
| 54.88 | 345 |
| 43.33 | 319 |
| 14.14 | 263 |
| 57.97 | 237 |
| 53.78 | 222 |
| 17.36 | 188 |

[5]
For LiMnF3, a crystal structure in the Materials Project, relaxed with PBE+U gives the calculated X-ray diffraction stick pattern in this record (Cu Kα (λ = 1.5418 Å)).
Lines closer than 0.1° are merged.

Structural model:
```
LiMnF3
1.0
5.466 0.000 0.000
0.000 9.036 0.000
0.000 0.000 10.053
Li Mn F
8 8 24
Direct
0.152 0.172 0.000
0.183 0.835 0.223
0.317 0.335 0.723
0.348 0.672 0.500
0.652 0.328 0.000
0.683 0.665 0.223
0.817 0.165 0.723
0.848 0.828 0.500
0.156 0.523 0.025
0.161 0.857 0.790
0.339 0.357 0.290
0.344 0.023 0.525
0.656 0.977 0.025
0.661 0.643 0.790
0.839 0.143 0.290
0.844 0.477 0.525
0.008 0.668 0.160
0.014 0.002 0.650
0.042 0.319 0.150
0.172 0.844 0.417
0.174 0.508 0.419
0.177 0.175 0.390
0.323 0.675 0.890
0.326 0.008 0.919
0.328 0.344 0.917
0.458 0.819 0.650
0.486 0.502 0.150
0.492 0.168 0.660
0.508 0.832 0.160
0.514 0.498 0.650
0.542 0.181 0.150
0.672 0.656 0.417
0.674 0.992 0.419
0.677 0.325 0.390
0.823 0.825 0.890
0.826 0.492 0.919
0.828 0.156 0.917
0.958 0.681 0.650
0.986 0.998 0.150
0.992 0.332 0.660
```

Principal peaks in the range 2θ from 10° to 90°, in order of falling intensity:
| two_theta | Rel. int. |
| --- | --- |
| 20.95 | 1000 |
| 13.17 | 905 |
| 38.54 | 564 |
| 26.53 | 525 |
| 26.02 | 507 |
| 31.25 | 476 |
| 43.67 | 455 |
| 59.28 | 398 |
| 37.46 | 334 |
| 42.69 | 332 |
| 57.65 | 313 |
| 32.88 | 307 |

[6]
For LiMn2F7, a crystal structure in the Materials Project, relaxed with PBE+U gives the calculated X-ray diffraction stick pattern in this record (Cu Kα (λ = 1.5418 Å)).
Lines closer than 0.1° are merged.

Structural model:
```
LiMn2F7
1.0
7.509 0.000 0.000
0.000 5.096 0.000
-1.874 0.000 13.125
Li Mn F
4 8 28
Direct
0.100 0.000 0.072
0.358 0.507 0.940
0.642 0.007 0.060
0.900 0.500 0.928
0.025 0.488 0.605
0.082 0.988 0.817
0.419 0.488 0.183
0.475 0.997 0.393
0.525 0.497 0.607
0.581 0.988 0.817
0.918 0.488 0.183
0.975 0.988 0.395
0.001 0.188 0.260
0.042 0.288 0.472
0.062 0.797 0.949
0.094 0.188 0.680
0.153 0.297 0.883
0.159 0.628 0.190
0.234 0.887 0.403
0.282 0.599 0.618
0.324 0.839 0.835
0.328 0.284 0.072
0.386 0.187 0.272
0.442 0.318 0.487
0.449 0.764 0.090
0.489 0.179 0.702
0.511 0.679 0.298
0.551 0.264 0.910
0.558 0.818 0.513
0.614 0.687 0.728
0.672 0.784 0.928
0.676 0.339 0.165
0.718 0.099 0.382
0.766 0.387 0.597
0.841 0.128 0.810
0.847 0.797 0.117
0.906 0.688 0.320
0.938 0.297 0.051
0.958 0.788 0.528
0.999 0.688 0.740
```

Principal peaks in the range 2θ from 10° to 90°, in order of falling intensity:
| two_theta | Rel. int. |
| --- | --- |
| 22.09 | 1000 |
| 23.94 | 661 |
| 26.86 | 329 |
| 34.22 | 320 |
| 53.64 | 275 |
| 49.88 | 180 |
| 51.97 | 161 |
| 62.58 | 159 |
| 53.89 | 159 |
| 40.18 | 145 |
| 48.50 | 124 |
| 43.07 | 106 |